Simulated powder XRD pattern
Compound: RbCo2As2
Radiation: Cu Kα
Structure: the PBE geometry in the Materials Project
Neutral-atom scattering factors, no anomalous dispersion.

Largest 10 diffraction maxima, low angle first, 2θ from 10° to 90°:
d 7.249, I = 39
d 2.984, I = 100
d 2.516, I = 24
d 2.156, I = 14
d 1.897, I = 31
d 1.795, I = 49
d 1.601, I = 30
d 1.483, I = 10
d 1.341, I = 9
d 1.168, I = 10

Crystal structure
abc: 3.7939 3.7939 14.4980
angles: 90.00 90.00 90.00
Positions (direct):
Rb: 0.0000 0.0000 0.0000
Rb: 0.5000 0.5000 0.5000
Co: 0.0000 0.5000 0.2500
Co: 0.0000 0.5000 0.7500
Co: 0.5000 0.0000 0.2500
Co: 0.5000 0.0000 0.7500
As: 0.0000 0.0000 0.3416
As: 0.0000 0.0000 0.6584
As: 0.5000 0.5000 0.1584
As: 0.5000 0.5000 0.8416

=====

Simulated powder XRD pattern
Compound: Ba2YMgBiO6
Radiation: Cu Kα
Structure: the PBE geometry in the Materials Project
Neutral-atom scattering factors, no anomalous dispersion.

Largest 10 diffraction maxima, low angle first, 2θ from 10° to 90°:
d 5.254, I = 32
d 3.495, I = 35
d 3.170, I = 100
d 3.025, I = 69
d 2.348, I = 25
d 2.190, I = 25
d 2.186, I = 27
d 1.830, I = 21
d 1.802, I = 20
d 1.585, I = 19

Crystal structure
abc: 6.3391 6.3391 7.0749
angles: 116.77 116.77 60.01
Positions (direct):
Ba: 0.0000 0.0000 0.0000
Ba: 0.5982 0.5982 0.7914
Y: 0.2544 0.2544 0.7631
Mg: 0.4059 0.4059 0.2128
Bi: 0.7969 0.7969 0.3906
O: 0.0248 0.5607 0.6169
O: 0.0282 0.0282 0.6244
O: 0.0445 0.5144 0.0682
O: 0.5125 0.5125 0.0658
O: 0.5144 0.0445 0.0682
O: 0.5607 0.0248 0.6169

=====

Simulated powder XRD pattern
Compound: Nd2Ti3Cl2O8
Radiation: Cu Kα
Structure: the PBE geometry in the Materials Project
Neutral-atom scattering factors, no anomalous dispersion.

Largest 10 diffraction maxima, low angle first, 2θ from 10° to 90°:
d 7.492, I = 36
d 4.592, I = 29
d 3.944, I = 100
d 3.702, I = 48
d 3.069, I = 42
d 2.916, I = 95
d 2.494, I = 28
d 2.380, I = 47
d 2.358, I = 42
d 2.096, I = 35

Crystal structure
abc: 14.9837 11.6697 5.0558
angles: 90.00 90.00 90.00
Positions (direct):
Nd: 0.1634 0.1372 0.0217
Nd: 0.1634 0.8628 0.5217
Nd: 0.3366 0.3628 0.5217
Nd: 0.3366 0.6372 0.0217
Nd: 0.6634 0.3628 0.9783
Nd: 0.6634 0.6372 0.4783
Nd: 0.8366 0.1372 0.4783
Nd: 0.8366 0.8628 0.9783
Ti: 0.0000 0.4077 0.7500
Ti: 0.0000 0.5923 0.2500
Ti: 0.1623 0.4229 0.1282
Ti: 0.1623 0.5771 0.6282
Ti: 0.3377 0.0771 0.6282
Ti: 0.3377 0.9229 0.1282
Ti: 0.5000 0.0923 0.2500
Ti: 0.5000 0.9077 0.7500
Ti: 0.6623 0.0771 0.8718
Ti: 0.6623 0.9229 0.3718
Ti: 0.8377 0.4229 0.3718
Ti: 0.8377 0.5771 0.8718
Cl: 0.0779 0.1015 0.5178
Cl: 0.0779 0.8985 0.0178
Cl: 0.4221 0.3985 0.0178
Cl: 0.4221 0.6015 0.5178
Cl: 0.5779 0.3985 0.4822
Cl: 0.5779 0.6015 0.9822
Cl: 0.9221 0.1015 0.9822
Cl: 0.9221 0.8985 0.4822
O: 0.0765 0.4548 0.4376
O: 0.0765 0.5452 0.9376
O: 0.0812 0.3170 0.9255
O: 0.0812 0.6830 0.4255
O: 0.2208 0.2984 0.2493
O: 0.2208 0.7016 0.7493
O: 0.2370 0.4689 0.8268
O: 0.2370 0.5311 0.3268
O: 0.2630 0.0311 0.3268
O: 0.2630 0.9689 0.8268
O: 0.2792 0.2016 0.7493
O: 0.2792 0.7984 0.2493
O: 0.4188 0.1830 0.4255
O: 0.4188 0.8170 0.9255
O: 0.4235 0.0452 0.9376
O: 0.4235 0.9548 0.4376
O: 0.5765 0.0452 0.5624
O: 0.5765 0.9548 0.0624
O: 0.5812 0.1830 0.0745
O: 0.5812 0.8170 0.5745
O: 0.7208 0.2016 0.7507
O: 0.7208 0.7984 0.2507
O: 0.7370 0.0311 0.1732
O: 0.7370 0.9689 0.6732
O: 0.7630 0.4689 0.6732
O: 0.7630 0.5311 0.1732
O: 0.7792 0.2984 0.2507
O: 0.7792 0.7016 0.7507
O: 0.9188 0.3170 0.5745
O: 0.9188 0.6830 0.0745
O: 0.9235 0.4548 0.0624
O: 0.9235 0.5452 0.5624